No. 1
Simulated powder XRD pattern of Er2TmCo9 for CuKα, from a PBE-relaxed structure.
Kinematic intensities with the Lorentz-polarization factor, no thermal factor.

Crystal structure
```
Er2TmCo9
1.0
2.4732 1.4279 8.0812
-2.4732 1.4279 8.0812
0.0000 -2.8558 8.0812
Er Tm Co
2 1 9
Direct
0.1397 0.1397 0.1397 Er
0.8603 0.8603 0.8603 Er
0.0000 0.0000 0.0000 Tm
0.0782 0.5831 0.5831 Co
0.3349 0.3349 0.3349 Co
0.4169 0.4169 0.9218 Co
0.4169 0.9218 0.4169 Co
0.5000 0.5000 0.5000 Co
0.5831 0.0782 0.5831 Co
0.5831 0.5831 0.0782 Co
0.6651 0.6651 0.6651 Co
0.9218 0.4169 0.4169 Co
```

The 10 most intense peaks (10 to 80 degrees two-theta), low angle first:
Position (°2θ)  intensity
33.27  49
36.32  93
42.36  36
42.87  100
44.87  19
46.34  21
63.42  15
65.35  25
69.86  34
77.13  19



No. 2
Simulated powder XRD pattern of ErGa5Co for CuKα, from a PBE-relaxed structure.
Kinematic intensities with the Lorentz-polarization factor, no thermal factor.

Crystal structure
```
ErGa5Co
1.0
4.2047 0.0000 0.0000
0.0000 4.2047 0.0000
0.0000 0.0000 6.7982
Er Ga Co
1 5 1
Direct
0.0000 0.0000 0.0000 Er
0.0000 0.5000 0.3092 Ga
0.0000 0.5000 0.6908 Ga
0.5000 0.0000 0.3092 Ga
0.5000 0.0000 0.6908 Ga
0.5000 0.5000 0.0000 Ga
0.0000 0.0000 0.5000 Co
```

The 10 most intense peaks (10 to 80 degrees two-theta), low angle first:
Position (°2θ)  intensity
21.13  24
32.88  52
33.91  14
39.78  19
40.30  100
43.02  55
60.03  22
62.48  18
77.01  28
77.14  11



No. 3
Simulated powder XRD pattern of Tb3Se5 for CuKα, from a PBE-relaxed structure.
Kinematic intensities with the Lorentz-polarization factor, no thermal factor.

Crystal structure
```
Tb3Se5
1.0
8.7567 0.0000 0.0000
-4.3784 7.5835 0.0000
0.0000 0.0000 5.8204
Tb Se
6 10
Direct
0.0000 0.3674 0.2500 Tb
0.0000 0.6326 0.7500 Tb
0.3674 0.0000 0.2500 Tb
0.3674 0.3674 0.7500 Tb
0.6326 0.0000 0.7500 Tb
0.6326 0.6326 0.2500 Tb
0.0000 0.2783 0.7500 Se
0.0000 0.7217 0.2500 Se
0.2783 0.0000 0.7500 Se
0.2783 0.2783 0.2500 Se
0.3333 0.6667 0.0000 Se
0.3333 0.6667 0.5000 Se
0.6667 0.3333 0.0000 Se
0.6667 0.3333 0.5000 Se
0.7217 0.0000 0.2500 Se
0.7217 0.7217 0.7500 Se
```

The 10 most intense peaks (10 to 80 degrees two-theta), low angle first:
Position (°2θ)  intensity
11.67  18
20.28  22
25.46  37
30.72  28
34.89  51
35.51  100
37.09  80
47.65  28
52.29  23
75.37  22



No. 4
Simulated powder XRD pattern of SrLaPd3 for CuKα, from a PBE-relaxed structure.
Kinematic intensities with the Lorentz-polarization factor, no thermal factor.

Crystal structure
```
SrLaPd3
1.0
7.0336 0.0000 0.0000
0.0000 8.0380 0.0000
0.0000 0.0000 8.3729
Sr La Pd
4 4 12
Direct
0.2168 0.1323 0.0000 Sr
0.2832 0.6323 0.5000 Sr
0.7168 0.3677 0.5000 Sr
0.7832 0.8677 0.0000 Sr
0.2227 0.1376 0.5000 La
0.2773 0.6376 0.0000 La
0.7227 0.3624 0.0000 La
0.7773 0.8624 0.5000 La
0.0000 0.5000 0.2340 Pd
0.0000 0.5000 0.7660 Pd
0.1196 0.8573 0.2552 Pd
0.1196 0.8573 0.7448 Pd
0.3804 0.3573 0.2448 Pd
0.3804 0.3573 0.7552 Pd
0.5000 0.0000 0.2660 Pd
0.5000 0.0000 0.7340 Pd
0.6196 0.6427 0.2448 Pd
0.6196 0.6427 0.7552 Pd
0.8804 0.1427 0.2552 Pd
0.8804 0.1427 0.7448 Pd
```

The 10 most intense peaks (10 to 80 degrees two-theta), low angle first:
Position (°2θ)  intensity
33.27  42
33.43  100
35.15  36
35.87  25
40.06  17
42.05  18
43.22  27
44.75  21
63.97  14
75.32  15



No. 5
Simulated powder XRD pattern of Th4TcTe2C for CuKα, from a PBE-relaxed structure.
Kinematic intensities with the Lorentz-polarization factor, no thermal factor.

Crystal structure
```
Th4TcTe2C
1.0
7.0541 0.0000 0.0000
0.0000 4.0715 0.0000
-2.2468 0.0000 7.5485
Th Tc Te C
4 1 2 1
Direct
0.2231 0.0000 0.1895 Th
0.2483 0.5000 0.8056 Th
0.7517 0.5000 0.1944 Th
0.7769 0.0000 0.8105 Th
0.5000 0.0000 0.0000 Tc
0.0000 0.0000 0.5000 Te
0.5000 0.5000 0.5000 Te
0.0000 0.5000 0.0000 C
```

The 10 most intense peaks (10 to 80 degrees two-theta), low angle first:
Position (°2θ)  intensity
26.36  13
26.53  23
29.76  100
30.04  44
32.28  28
35.68  20
40.59  13
41.03  22
44.50  57
54.63  17



No. 6
Simulated powder XRD pattern of BaCd2Re for CuKα, from a PBE-relaxed structure.
Kinematic intensities with the Lorentz-polarization factor, no thermal factor.

Crystal structure
```
BaCd2Re
1.0
3.0621 0.0000 0.0000
0.0000 4.2419 0.0000
0.0000 0.0000 7.4583
Ba Cd Re
1 2 1
Direct
0.0000 0.0000 0.0000 Ba
0.5000 0.5000 0.3131 Cd
0.5000 0.5000 0.6869 Cd
0.0000 0.0000 0.5000 Re
```

The 10 most intense peaks (10 to 80 degrees two-theta), low angle first:
Position (°2θ)  intensity
11.87  43
31.95  100
36.18  98
38.02  62
42.13  15
42.63  29
58.43  35
62.27  15
70.04  20
73.82  11



No. 7
Simulated powder XRD pattern of Ac6CuPt2I3 for CuKα, from a PBE-relaxed structure.
Kinematic intensities with the Lorentz-polarization factor, no thermal factor.

Crystal structure
```
Ac6CuPt2I3
1.0
3.8966 -6.7497 0.0000
3.8966 6.7497 0.0000
-2.5995 0.0000 8.6097
Ac Cu Pt I
6 1 2 3
Direct
0.1006 0.4382 0.8145 Ac
0.2243 0.2243 0.1855 Ac
0.4382 0.1006 0.8145 Ac
0.5618 0.8994 0.1855 Ac
0.7757 0.7757 0.8145 Ac
0.8994 0.5618 0.1855 Ac
0.5000 0.5000 0.0000 Cu
0.1667 0.8333 0.0000 Pt
0.8333 0.1667 0.0000 Pt
0.0000 0.0000 0.5000 I
0.3349 0.6651 0.5000 I
0.6651 0.3349 0.5000 I
```

The 10 most intense peaks (10 to 80 degrees two-theta), low angle first:
Position (°2θ)  intensity
10.27  25
26.72  100
33.44  19
36.13  25
40.08  41
45.08  13
48.82  20
51.63  18
55.06  13
64.95  19



No. 8
Simulated powder XRD pattern of V3Ni4Ir for CuKα, from a PBE-relaxed structure.
Kinematic intensities with the Lorentz-polarization factor, no thermal factor.

Crystal structure
```
V3Ni4Ir
1.0
7.2407 0.0000 0.0000
0.0000 5.1951 0.0000
0.0000 0.0000 5.1920
V Ni Ir
6 8 2
Direct
0.0000 0.0000 0.0000 V
0.2500 0.2494 0.2500 V
0.2500 0.7506 0.7500 V
0.5000 0.0000 0.5000 V
0.7500 0.2494 0.2500 V
0.7500 0.7506 0.7500 V
0.0000 0.0000 0.5000 Ni
0.0000 0.5000 0.5000 Ni
0.2500 0.2409 0.7500 Ni
0.2500 0.7591 0.2500 Ni
0.5000 0.0000 0.0000 Ni
0.5000 0.5000 0.0000 Ni
0.7500 0.2409 0.7500 Ni
0.7500 0.7591 0.2500 Ni
0.0000 0.5000 0.0000 Ir
0.5000 0.5000 0.5000 Ir
```

The 10 most intense peaks (10 to 80 degrees two-theta), low angle first:
Position (°2θ)  intensity
17.07  12
21.06  10
24.59  6
27.23  18
30.09  8
42.86  100
49.65  32
50.41  15
72.85  9
73.46  19